# LiZrTe4Au3
Computed powder diffraction line list, a wavelength of 1.5418 Å. Input: a crystal structure in OQMD, relaxed with GGA-PBE.
Kinematic intensities with the Lorentz-polarization factor, no thermal factor.

```
data_LiZrTe4Au3
_cell_length_a 6.208
_cell_length_b 9.709
_cell_length_c 9.316
_cell_angle_alpha 90.00
_cell_angle_beta 94.25
_cell_angle_gamma 90.00
_symmetry_space_group_name_H-M 'P 1'
_symmetry_Int_Tables_number 1
loop_
_symmetry_equiv_pos_as_xyz
'x,y,z'
loop_
_atom_site_label
_atom_site_type_symbol
_atom_site_fract_x
_atom_site_fract_y
_atom_site_fract_z
Li1 Li 0.034 0.250 0.428
Li2 Li 0.966 0.750 0.572
Zr1 Zr 0.251 0.750 0.259
Zr2 Zr 0.749 0.250 0.741
Te1 Te 0.005 0.009 0.727
Te2 Te 0.005 0.491 0.727
Te3 Te 0.477 0.750 0.521
Te4 Te 0.483 0.250 0.981
Te5 Te 0.517 0.750 0.019
Te6 Te 0.523 0.250 0.479
Te7 Te 0.995 0.509 0.273
Te8 Te 0.995 0.991 0.273
Au1 Au 0.186 0.573 0.993
Au2 Au 0.186 0.927 0.993
Au3 Au 0.244 0.250 0.698
Au4 Au 0.756 0.750 0.302
Au5 Au 0.814 0.073 0.007
Au6 Au 0.814 0.427 0.007
```

Principal peaks in the range 2θ from 10° to 80°, most intense first:
d (Å), 2θ/deg, I/Imax
3.820, 23.28, 1000
6.713, 13.19, 877
2.339, 38.49, 669
2.869, 31.17, 631
2.217, 40.70, 533
3.587, 24.82, 491
3.097, 28.83, 405
2.323, 38.77, 368
4.303, 20.64, 305
2.149, 42.04, 268

=====

# Hg3Te2I2
Computed powder diffraction line list, a wavelength of 1.5418 Å. Input: a crystal structure in OQMD, relaxed with GGA-PBE.
Kinematic intensities with the Lorentz-polarization factor, no thermal factor.

```
data_Hg3Te2I2
_cell_length_a 8.723
_cell_length_b 8.723
_cell_length_c 8.723
_cell_angle_alpha 109.47
_cell_angle_beta 109.47
_cell_angle_gamma 109.47
_symmetry_space_group_name_H-M 'P 1'
_symmetry_Int_Tables_number 1
loop_
_symmetry_equiv_pos_as_xyz
'x,y,z'
loop_
_atom_site_label
_atom_site_type_symbol
_atom_site_fract_x
_atom_site_fract_y
_atom_site_fract_z
Hg1 Hg 0.192 0.942 0.250
Hg2 Hg 0.250 0.192 0.942
Hg3 Hg 0.308 0.558 0.750
Hg4 Hg 0.558 0.750 0.308
Hg5 Hg 0.750 0.308 0.558
Hg6 Hg 0.942 0.250 0.192
Te1 Te 0.000 0.538 0.500
Te2 Te 0.500 0.000 0.538
Te3 Te 0.538 0.500 0.000
Te4 Te 0.962 0.962 0.962
I1 I 0.000 0.013 0.500
I2 I 0.013 0.500 0.000
I3 I 0.487 0.487 0.487
I4 I 0.500 0.000 0.013
```

Principal peaks in the range 2θ from 10° to 80°, most intense first:
d (Å), 2θ/deg, I/Imax
4.112, 21.61, 1000
3.185, 28.01, 905
2.518, 35.65, 898
1.975, 45.94, 694
2.908, 30.75, 490
3.561, 25.00, 467
2.056, 44.04, 458
2.692, 33.28, 408
1.781, 51.31, 375
2.374, 37.90, 372

=====

# Ba3Zn4
Computed powder diffraction line list, a wavelength of 1.5418 Å. Input: a crystal structure in OQMD, relaxed with GGA-PBE.
Kinematic intensities with the Lorentz-polarization factor, no thermal factor.

```
data_Ba3Zn4
_cell_length_a 10.439
_cell_length_b 4.775
_cell_length_c 10.441
_cell_angle_alpha 90.00
_cell_angle_beta 119.96
_cell_angle_gamma 90.00
_symmetry_space_group_name_H-M 'P 1'
_symmetry_Int_Tables_number 1
loop_
_symmetry_equiv_pos_as_xyz
'x,y,z'
loop_
_atom_site_label
_atom_site_type_symbol
_atom_site_fract_x
_atom_site_fract_y
_atom_site_fract_z
Ba1 Ba 0.000 0.000 0.000
Ba2 Ba 0.094 0.500 0.679
Ba3 Ba 0.265 0.000 0.492
Ba4 Ba 0.359 0.500 0.171
Ba5 Ba 0.585 0.500 0.906
Ba6 Ba 0.773 0.000 0.265
Zn1 Zn 0.013 0.500 0.252
Zn2 Zn 0.346 0.000 0.919
Zn3 Zn 0.516 0.500 0.552
Zn4 Zn 0.551 0.000 0.423
Zn5 Zn 0.645 0.000 0.714
Zn6 Zn 0.713 0.500 0.457
Zn7 Zn 0.808 0.500 0.748
Zn8 Zn 0.842 0.000 0.619
```

Principal peaks in the range 2θ from 10° to 80°, most intense first:
d (Å), 2θ/deg, I/Imax
2.779, 32.21, 1000
3.418, 26.07, 618
3.524, 25.28, 518
2.388, 37.68, 302
2.220, 40.63, 256
1.957, 46.39, 255
3.283, 27.16, 238
1.903, 47.80, 183
1.343, 70.05, 159
2.508, 35.80, 147